Starting from a crystal structure in Alexandria, relaxed with GGA-PBE, the X-ray diffraction stick pattern of Ce2B3C was calculated for Cu Kα (λ = 1.5418 Å).

Atomic structure:
```
data_Ce2B3C
_cell_length_a 6.820
_cell_length_b 6.140
_cell_length_c 5.262
_cell_angle_alpha 73.02
_cell_angle_beta 59.43
_cell_angle_gamma 47.55
_symmetry_space_group_name_H-M 'P 1'
_symmetry_Int_Tables_number 1
loop_
_symmetry_equiv_pos_as_xyz
'x,y,z'
loop_
_atom_site_label
_atom_site_type_symbol
_atom_site_fract_x
_atom_site_fract_y
_atom_site_fract_z
_atom_site_occupancy
Ce1 Ce 0.245 0.755 0.245 1
Ce2 Ce 0.250 0.250 0.250 1
Ce3 Ce 0.750 0.750 0.750 1
Ce4 Ce 0.755 0.245 0.755 1
B1 B 0.174 0.174 0.826 1
B2 B 0.175 0.651 0.825 1
B3 B 0.349 0.825 0.651 1
B4 B 0.651 0.175 0.349 1
B5 B 0.825 0.349 0.175 1
B6 B 0.826 0.826 0.174 1
C1 C 0.334 0.334 0.666 1
C2 C 0.666 0.666 0.334 1
```

Principal peaks in the range 10 to 80 degrees two-theta, sorted by position:
20.79 deg, I = 58; 33.71 deg, I = 62; 39.94 deg, I = 100; 42.31 deg, I = 16; 55.15 deg, I = 31; 60.29 deg, I = 16; 64.50 deg, I = 18; 74.79 deg, I = 15; 75.77 deg, I = 15; 76.40 deg, I = 16